Starting from a structure optimized by DFT (GGA+U), the X-ray powder pattern of Li3Mn4P6O24 was calculated for CuKα.
Intensities are scaled so that the largest is 100.

Structural model:
Cell lengths 8.355, 8.464, 8.517 Å; angles 119.24, 90.82, 118.88 degrees
Space group P1 (No. 1)
Unique sites:
Li: 0.000 0.000 0.000 (multiplicity 1)
Li: 0.260 0.510 0.147 (multiplicity 1)
Li: 0.526 0.035 0.523 (multiplicity 1)
Mn: 0.150 0.738 0.861 (multiplicity 1)
Mn: 0.377 0.304 0.653 (multiplicity 1)
Mn: 0.653 0.737 0.364 (multiplicity 1)
Mn: 0.872 0.305 0.156 (multiplicity 1)
P: 0.057 0.811 0.259 (multiplicity 1)
P: 0.265 0.533 0.479 (multiplicity 1)
P: 0.459 0.230 0.970 (multiplicity 1)
P: 0.557 0.805 0.036 (multiplicity 1)
P: 0.759 0.508 0.542 (multiplicity 1)
P: 0.975 0.239 0.758 (multiplicity 1)
O: 0.008 0.454 0.805 (multiplicity 1)
O: 0.040 0.601 0.215 (multiplicity 1)
O: 0.070 0.832 0.087 (multiplicity 1)
O: 0.103 0.349 0.277 (multiplicity 1)
O: 0.142 0.215 0.708 (multiplicity 1)
O: 0.204 0.666 0.628 (multiplicity 1)
O: 0.251 0.000 0.426 (multiplicity 1)
O: 0.265 0.039 0.946 (multiplicity 1)
O: 0.326 0.414 0.525 (multiplicity 1)
O: 0.391 0.818 0.984 (multiplicity 1)
O: 0.424 0.699 0.444 (multiplicity 1)
O: 0.459 0.198 0.773 (multiplicity 1)
O: 0.459 0.430 0.111 (multiplicity 1)
O: 0.540 0.594 0.884 (multiplicity 1)
O: 0.554 0.824 0.227 (multiplicity 1)
O: 0.595 0.332 0.562 (multiplicity 1)
O: 0.635 0.237 0.034 (multiplicity 1)
O: 0.692 0.616 0.485 (multiplicity 1)
O: 0.754 0.994 0.059 (multiplicity 1)
O: 0.779 0.056 0.604 (multiplicity 1)
O: 0.824 0.377 0.392 (multiplicity 1)
O: 0.885 0.820 0.303 (multiplicity 1)
O: 0.922 0.696 0.738 (multiplicity 1)
O: 0.981 0.234 0.942 (multiplicity 1)

Most intense lines, 5° ≤ 2θ ≤ 70°, by intensity:
2theta  I (rel.)
20.74  100
21.00  58
21.27  53
24.32  49
24.12  49
24.39  48
24.90  47
24.79  47